This entry pairs a crystal structure of OsRhO4 with its computed powder diffraction line list. Radiation: Cu Kα X-rays. Structure: a cell relaxed with PBE.
Kinematic intensities with the Lorentz-polarization factor, no thermal factor.

The 12 most intense peaks (2θ from 15° to 90°), low angle first:
Position (°2θ), d [Å], I (rel.), index
19.67, 4.512, 16, 1 0 1
27.63, 3.228, 100, 2 0 0
34.56, 2.595, 89, 1 1 2
39.47, 2.283, 25, 2 2 0
53.46, 1.714, 67, 3 1 2
57.06, 1.614, 15, 4 0 0
64.55, 1.444, 15, 4 2 0
65.92, 1.417, 17, 2 0 4
68.45, 1.371, 19, 3 3 2
72.90, 1.298, 9, 2 2 4
82.00, 1.175, 14, 5 1 2
86.22, 1.128, 9, 4 0 4

Atomic structure:
```
data_OsRhO4
_chemical_formula_sum 'Os4 Rh4 O16'
_symmetry_space_group_name_H-M 'I 41 m d'
_symmetry_Int_Tables_number 109
_symmetry_space_group_name_Hall 'I 4bw -2'
_cell_length_a 6.457
_cell_length_b 6.457
_cell_length_c 6.308
_cell_angle_alpha 90.00
_cell_angle_beta 90.00
_cell_angle_gamma 90.00
loop_
_atom_site_label
_atom_site_type_symbol
_atom_site_fract_x
_atom_site_fract_y
_atom_site_fract_z
_atom_site_occupancy
Os1 Os 0.000 0.000 0.000 1
Rh1 Rh 0.000 0.000 0.502 1
O1 O 0.000 0.189 0.757 1
O2 O 0.000 0.197 0.245 1
```